Diffraction record for Rb2Nb3Cl7O5. The X-ray powder pattern is computed, not measured: it uses a structure optimized by DFT (GGA-PBE) and Cu Kα (weighted mean of Kα1 and Kα2).
Peak positions follow from Bragg's law for the DFT cell and can differ from measured ones.

Cell and atoms:
Lattice parameters (Å, degrees): 17.2829 9.0367 11.3240 90.00 111.16 90.00
Space group C2/c (No. 15)
Asymmetric unit:
Rb1 0.2023 0.0400 0.3561 [8 per cell]
Nb1 0.0000 0.4653 0.2500 [4 per cell]
Nb2 0.0025 0.2114 0.9736 [8 per cell]
Cl1 0.0000 0.0930 0.7500 [4 per cell]
Cl2 0.1492 0.2109 0.6250 [8 per cell]
Cl3 0.1487 0.4295 0.3309 [8 per cell]
Cl4 0.1530 0.2096 0.0422 [8 per cell]
O1 0.0000 0.0000 0.0000 [4 per cell]
O2 0.0013 0.2878 0.1209 [8 per cell]
O3 0.0015 0.3976 0.8744 [8 per cell]

Top 10 peaks for 2θ from 10° to 90°, sorted by position:
Position (°2θ)	I_rel	(hkl)
10.98	93	2 0 0
21.27	53	3 1 -2
21.85	48	1 1 2
22.06	39	4 0 0
22.59	36	2 2 0
25.71	100	2 2 -2
25.95	79	0 2 2
31.63	53	2 0 -4
33.35	60	6 0 0
38.22	40	4 2 2

=====

Diffraction record for Nb2Te4Cl10O. The X-ray powder pattern is computed, not measured: it uses a structure optimized by DFT (GGA-PBE) and Cu Kα (weighted mean of Kα1 and Kα2).
Peak positions follow from Bragg's law for the DFT cell and can differ from measured ones.

Cell and atoms:
Lattice parameters (Å, degrees): 6.8636 8.7168 9.2361 80.80 88.93 74.76
Space group P-1 (No. 2)
Asymmetric unit:
Nb1 0.0129 0.1428 0.1349 [2 per cell]
Te1 0.3157 0.5959 0.3350 [2 per cell]
Te2 0.4174 0.3043 0.5119 [2 per cell]
Cl1 0.0435 0.3275 0.3105 [2 per cell]
Cl2 0.1141 0.0168 0.6705 [2 per cell]
Cl3 0.1570 0.2981 0.9541 [2 per cell]
Cl4 0.3179 0.6993 0.9251 [2 per cell]
Cl5 0.3524 0.9778 0.2153 [2 per cell]
O1 0.0000 0.0000 0.0000 [1 per cell]

Top 10 peaks for 2θ from 10° to 90°, sorted by position:
Position (°2θ)	I_rel	(hkl)
13.22	22	0 1 1
14.76	29	1 1 0
15.55	28	0 1 -1
16.35	100	1 0 -1
20.64	67	-1 1 1
23.40	43	1 0 -2
25.97	31	-1 1 2
31.65	57	1 2 -2
34.37	21	1 2 3
40.82	25	3 1 -1